# 1
Structure and theoretical powder diffractogram of ErAsSe (a DFT-relaxed cell (PBE, the Materials Project); Cu Kα).
Kinematic intensities with the Lorentz-polarization factor, no thermal factor.

Structure:
```
data_ErAsSe
_chemical_formula_sum 'Er4 As4 Se4'
_symmetry_space_group_name_H-M 'P n m a'
_symmetry_Int_Tables_number 62
_cell_length_a 17.466
_cell_length_b 3.886
_cell_length_c 3.900
_cell_angle_alpha 90.00
_cell_angle_beta 90.00
_cell_angle_gamma 90.00
loop_
_symmetry_equiv_pos_as_xyz
'x,y,z'
'-x,-y,-z'
'-x+1/2,-y,z+1/2'
'x+1/2,y,-z+1/2'
'x+1/2,-y+1/2,-z+1/2'
'-x+1/2,y+1/2,z+1/2'
'-x,y+1/2,-z'
'x,-y+1/2,z'
loop_
_atom_site_label
_atom_site_type_symbol
_atom_site_fract_x
_atom_site_fract_y
_atom_site_fract_z
Er1 Er 0.139 0.250 0.241
As1 As 0.001 0.250 0.723
Se1 Se 0.188 0.750 0.742
```

The 10 most intense peaks (15 to 90 degrees two-theta), by angle:
2theta	Rel. int.	hkl
25.04	37	2 1 0
30.72	25	6 0 0
32.53	24	0 1 1
34.15	40	2 1 1
38.65	100	4 1 1
46.57	16	0 0 2
46.75	16	0 2 0
62.17	11	6 2 1
68.88	12	12 0 1
87.32	11	12 2 1

# 2
Structure and theoretical powder diffractogram of KMgCl3 (a DFT-relaxed cell (PBE, the Materials Project); Cu Kα).
Kinematic intensities with the Lorentz-polarization factor, no thermal factor.

Structure:
```
data_KMgCl3
_chemical_formula_sum 'K4 Mg4 Cl12'
_symmetry_space_group_name_H-M 'P n m a'
_symmetry_Int_Tables_number 62
_cell_length_a 7.075
_cell_length_b 10.032
_cell_length_c 7.030
_cell_angle_alpha 90.00
_cell_angle_beta 90.00
_cell_angle_gamma 90.00
loop_
_symmetry_equiv_pos_as_xyz
'x,y,z'
'-x,-y,-z'
'-x+1/2,-y,z+1/2'
'x+1/2,y,-z+1/2'
'x+1/2,-y+1/2,-z+1/2'
'-x+1/2,y+1/2,z+1/2'
'-x,y+1/2,-z'
'x,-y+1/2,z'
loop_
_atom_site_label
_atom_site_type_symbol
_atom_site_fract_x
_atom_site_fract_y
_atom_site_fract_z
K1 K 0.033 0.250 0.007
Mg1 Mg 0.000 0.000 0.500
Cl1 Cl 0.007 0.750 0.449
Cl2 Cl 0.213 0.526 0.787
```

The 10 most intense peaks (15 to 90 degrees two-theta), by angle:
2theta	Rel. int.	hkl
25.18	25	2 0 0
29.60	21	0 3 1
30.93	84	2 2 0
31.07	77	0 2 2
33.56	21	2 2 1
35.80	58	0 4 0
36.02	100	2 0 2
44.32	12	2 4 0
44.56	14	1 2 3
51.69	65	2 4 2

# 3
Structure and theoretical powder diffractogram of SrHfInSbO6 (a DFT-relaxed cell (PBE, the Materials Project); Cu Kα).
Kinematic intensities with the Lorentz-polarization factor, no thermal factor.

Structure:
```
data_SrHfInSbO6
_chemical_formula_sum 'Sr4 Hf4 In4 Sb4 O24'
_symmetry_space_group_name_H-M 'F -4 3 m'
_symmetry_Int_Tables_number 216
_symmetry_space_group_name_Hall 'F -4 2 3'
_cell_length_a 8.201
_cell_length_b 8.201
_cell_length_c 8.201
_cell_angle_alpha 90.00
_cell_angle_beta 90.00
_cell_angle_gamma 90.00
loop_
_atom_site_label
_atom_site_type_symbol
_atom_site_fract_x
_atom_site_fract_y
_atom_site_fract_z
Sr1 Sr 0.000 0.000 0.000
Hf1 Hf 0.250 0.250 0.250
In1 In 0.000 0.000 0.500
Sb1 Sb 0.250 0.250 0.750
O1 O 0.005 0.250 0.750
```

The 10 most intense peaks (15 to 90 degrees two-theta), by angle:
2theta	Rel. int.	hkl
18.74	3	1 1 1
21.67	9	2 0 0
30.84	100	2 2 0
44.17	30	4 0 0
49.72	4	4 2 0
54.84	40	4 2 2
64.25	18	4 4 0
72.95	17	6 2 0
81.27	6	4 4 4
89.40	21	6 4 2